# 1
This entry pairs a crystal structure of BaNd2Hg2 with its theoretical powder XRD pattern. Radiation: Cu Kα, 1.54184 Å. Structure: a crystal structure in Alexandria, relaxed with GGA-PBE.
Peak positions follow from Bragg's law for the DFT cell and can differ from measured ones.

Peak list (10 most intense, 2θ = 10–90°, by intensity)
two_theta  I_rel  (hkl)
30.3  100  1 5 0
32.0  98  1 1 1
33.7  49  0 6 1
28.1  44  0 4 1
56.2  42  1 5 2
16.4  31  0 4 0
34.1  30  1 3 1
57.3  22  2 6 1
44.9  21  2 0 0
46.1  19  0 0 2

Crystal structure
```
data_BaNd2Hg2
_space_group_name_H-M_alt 'C m m m'
_space_group_IT_number 65
_space_group_name_Hall '-C 2 2'
_cell_length_a 4.0416
_cell_length_b 21.6014
_cell_length_c 3.9359
_cell_angle_alpha 90.00
_cell_angle_beta 90.00
_cell_angle_gamma 90.00
loop_
_atom_site_label
_atom_site_type_symbol
_atom_site_fract_x
_atom_site_fract_y
_atom_site_fract_z
Ba1 Ba 0.0000 0.0000 0.0000
Nd1 Nd 0.0000 0.1803 0.0000
Hg1 Hg 0.0000 0.3904 0.5000
```

# 2
This entry pairs a crystal structure of Sm2Pd2Se with its theoretical powder XRD pattern. Radiation: Cu Kα, 1.54184 Å. Structure: a crystal structure in Alexandria, relaxed with GGA-PBE.
Peak positions follow from Bragg's law for the DFT cell and can differ from measured ones.

Peak list (10 most intense, 2θ = 10–90°, by intensity)
two_theta  I_rel  (hkl)
30.9  100  0 1 5
42.3  51  1 1 0
53.3  21  2 0 5
70.2  18  1 2 5
46.2  18  1 0 10
11.5  15  0 0 3
36.4  14  1 0 7
65.1  13  1 1 12
39.5  11  0 1 8
77.3  8  3 0 0

Crystal structure
```
data_Sm2Pd2Se
_space_group_name_H-M_alt 'R -3 m'
_space_group_IT_number 166
_space_group_name_Hall '-R 3 2"'
_cell_length_a 4.2769
_cell_length_b 4.2769
_cell_length_c 23.1834
_cell_angle_alpha 90.00
_cell_angle_beta 90.00
_cell_angle_gamma 120.00
loop_
_atom_site_label
_atom_site_type_symbol
_atom_site_fract_x
_atom_site_fract_y
_atom_site_fract_z
Sm1 Sm 0.0000 0.0000 0.0856
Pd1 Pd 0.0000 0.0000 0.3142
Se1 Se 0.0000 0.0000 0.5000
```

# 3
This entry pairs a crystal structure of Al2InNi with its theoretical powder XRD pattern. Radiation: Cu Kα, 1.54184 Å. Structure: a crystal structure in Alexandria, relaxed with GGA-PBE.
Peak positions follow from Bragg's law for the DFT cell and can differ from measured ones.

Peak list (10 most intense, 2θ = 10–90°, by intensity)
two_theta  I_rel  (hkl)
15.7  100  0 0 2
41.7  87  1 1 2
31.8  34  0 0 4
50.6  30  1 1 4
40.3  27  0 2 0
31.1  20  0 1 3
38.4  18  1 1 0
52.2  16  0 2 4
43.5  16  0 2 2
74.2  15  1 3 2

Crystal structure
```
data_Al2InNi
_space_group_name_H-M_alt 'I m m m'
_space_group_IT_number 71
_space_group_name_Hall '-I 2 2'
_cell_length_a 2.7547
_cell_length_b 4.4785
_cell_length_c 11.2667
_cell_angle_alpha 90.00
_cell_angle_beta 90.00
_cell_angle_gamma 90.00
loop_
_atom_site_label
_atom_site_type_symbol
_atom_site_fract_x
_atom_site_fract_y
_atom_site_fract_z
Al1 Al 0.0000 0.0000 0.1933
In1 In 0.0000 0.5000 0.0000
Ni1 Ni 0.0000 0.5000 0.5000
```